[1]
V6O5F19: calculated powder diffractogram (Cu Kα), based on a PBE+U-relaxed structure.

The 10 most intense peaks (10° ≤ 2θ ≤ 80°), by angle:
18.37 deg, d = 4.829 Å, rel. 100.0, (0 0 3); 25.01 deg, d = 3.561 Å, rel. 92.1, (1 1 -1); 25.23 deg, d = 3.530 Å, rel. 90.4, (1 -1 1); 32.79 deg, d = 2.731 Å, rel. 15.2, (0 2 1); 37.23 deg, d = 2.415 Å, rel. 14.2, (0 0 6); 38.96 deg, d = 2.312 Å, rel. 9.6, (-2 1 2); 41.05 deg, d = 2.199 Å, rel. 13.3, (1 0 6); 47.46 deg, d = 1.916 Å, rel. 13.7, (2 2 1); 47.97 deg, d = 1.896 Å, rel. 14.6, (-2 2 1); 53.12 deg, d = 1.724 Å, rel. 16.6, (1 1 8)

Structural model:
abc: 5.3210 5.4627 14.7346
angles: 79.51 89.84 89.42
Space group P1 (No. 1)
One atom of each set of equivalent atoms:
V: 0.0000 0.0000 0.0000 x1
V: 0.0259 0.4149 0.3348 x1
V: 0.0994 0.7134 0.6760 x1
V: 0.5315 0.5163 0.0054 x1
V: 0.5680 0.9169 0.3342 x1
V: 0.5978 0.1754 0.6652 x1
O: 0.3289 0.9011 0.6925 x1
O: 0.7524 0.1619 0.3127 x1
O: 0.7598 0.8312 0.9805 x1
O: 0.8292 0.9846 0.6485 x1
O: 0.8384 0.6615 0.3137 x1
F: 0.1044 0.7328 0.5550 x1
F: 0.1300 0.3846 0.2230 x1
F: 0.1437 0.0755 0.8904 x1
F: 0.2374 0.7211 0.0299 x1
F: 0.2507 0.4068 0.6951 x1
F: 0.2675 0.0503 0.3616 x1
F: 0.3210 0.5480 0.3625 x1
F: 0.3495 0.2237 0.0284 x1
F: 0.4485 0.2433 0.5558 x1
F: 0.4633 0.5833 0.8862 x1
F: 0.4629 0.8827 0.2232 x1
F: 0.6067 0.1518 0.7865 x1
F: 0.6248 0.7954 0.4522 x1
F: 0.6372 0.4924 0.1206 x1
F: 0.7490 0.4776 0.6463 x1
F: 0.8395 0.3234 0.9785 x1
F: 0.9486 0.6434 0.7853 x1
F: 0.9624 0.2911 0.4521 x1
F: 0.9744 0.9961 0.1197 x1


[2]
V2OF5: calculated powder diffractogram (Cu Kα), based on a PBE+U-relaxed structure.

The 10 most intense peaks (10° ≤ 2θ ≤ 80°), by angle:
23.46 deg, d = 3.792 Å, rel. 99.5, (0 2 -1); 23.59 deg, d = 3.771 Å, rel. 99.9, (1 0 1); 23.71 deg, d = 3.753 Å, rel. 100.0, (1 0 -2); 33.04 deg, d = 2.711 Å, rel. 26.6, (-1 2 1); 39.59 deg, d = 2.276 Å, rel. 18.1, (0 3 0); 47.98 deg, d = 1.896 Å, rel. 22.1, (0 4 -2); 48.26 deg, d = 1.886 Å, rel. 20.9, (2 0 2); 48.51 deg, d = 1.877 Å, rel. 19.4, (2 0 -4); 53.34 deg, d = 1.718 Å, rel. 24.0, (1 -4 3); 53.78 deg, d = 1.705 Å, rel. 23.9, (-2 2 3)

Structural model:
abc: 5.4219 7.5942 9.0625
angles: 113.86 105.89 92.90
Space group P1 (No. 1)
One atom of each set of equivalent atoms:
V: 0.0000 0.0000 0.0000 x1
V: 0.0130 0.5036 0.0067 x1
V: 0.3442 0.3313 0.6651 x1
V: 0.3767 0.8408 0.6764 x1
V: 0.6634 0.1784 0.3512 x1
V: 0.7067 0.6680 0.3292 x1
O: 0.5674 0.2976 0.5212 x1
O: 0.6861 0.9389 0.8023 x1
O: 0.8942 0.6394 0.2046 x1
F: 0.0397 0.2833 0.4677 x1
F: 0.0453 0.2823 0.0683 x1
F: 0.1130 0.3515 0.8031 x1
F: 0.2336 0.9793 0.8650 x1
F: 0.3049 0.0466 0.6010 x1
F: 0.3144 0.0452 0.1973 x1
F: 0.3697 0.6143 0.7314 x1
F: 0.3785 0.6182 0.1395 x1
F: 0.4568 0.6860 0.4671 x1
F: 0.6409 0.3844 0.2716 x1
F: 0.6447 0.3816 0.8674 x1
F: 0.7145 0.9493 0.4034 x1
F: 0.7810 0.0252 0.1460 x1
F: 0.9748 0.7171 0.9370 x1
F: 0.9906 0.7211 0.5385 x1


[3]
V6O5F19: calculated powder diffractogram (Cu Kα), based on a PBE+U-relaxed structure.

The 10 most intense peaks (10° ≤ 2θ ≤ 80°), by angle:
18.25 deg, d = 4.861 Å, rel. 100.0, (0 0 3); 24.80 deg, d = 3.589 Å, rel. 48.7, (1 1 -1); 24.95 deg, d = 3.569 Å, rel. 47.2, (1 1 2); 25.14 deg, d = 3.543 Å, rel. 88.6, (1 -1 1); 32.41 deg, d = 2.763 Å, rel. 15.3, (0 2 1); 36.98 deg, d = 2.431 Å, rel. 12.7, (0 0 6); 38.66 deg, d = 2.329 Å, rel. 11.0, (2 1 2); 40.90 deg, d = 2.207 Å, rel. 11.0, (1 0 6); 47.22 deg, d = 1.925 Å, rel. 13.9, (2 2 1); 47.82 deg, d = 1.902 Å, rel. 13.6, (-2 2 1)

Structural model:
abc: 5.3050 5.5258 14.8171
angles: 79.82 90.00 89.32
Space group P1 (No. 1)
One atom of each set of equivalent atoms:
V: 0.0000 0.0000 0.0000 x1
V: 0.0069 0.6557 0.6660 x1
V: 0.4854 0.9135 0.3249 x1
V: 0.5194 0.5327 0.9955 x1
V: 0.5491 0.1573 0.6656 x1
V: 0.9843 0.3448 0.3352 x1
O: 0.3068 0.1663 0.3084 x1
O: 0.7345 0.9108 0.6875 x1
O: 0.8078 0.0955 0.3518 x1
O: 0.8243 0.4118 0.6870 x1
O: 0.8252 0.7522 0.0201 x1
F: 0.1121 0.6950 0.7759 x1
F: 0.1226 0.0225 0.1090 x1
F: 0.1266 0.3462 0.4434 x1
F: 0.2362 0.3633 0.9714 x1
F: 0.2529 0.0289 0.6378 x1
F: 0.2553 0.6888 0.3057 x1
F: 0.3072 0.5262 0.6380 x1
F: 0.3118 0.8487 0.9721 x1
F: 0.4483 0.1951 0.7763 x1
F: 0.4584 0.5142 0.1138 x1
F: 0.4742 0.8232 0.4454 x1
F: 0.6152 0.2783 0.5495 x1
F: 0.6259 0.5977 0.8807 x1
F: 0.6295 0.9186 0.2166 x1
F: 0.7303 0.2309 0.0212 x1
F: 0.7525 0.5758 0.3535 x1
F: 0.9457 0.7816 0.5497 x1
F: 0.9525 0.1082 0.8819 x1
F: 0.9725 0.4401 0.2148 x1


[4]
V6O7F5: calculated powder diffractogram (Cu Kα), based on a PBE+U-relaxed structure.

The 10 most intense peaks (10° ≤ 2θ ≤ 80°), by angle:
26.52 deg, d = 3.361 Å, rel. 100.0, (1 1 1); 27.06 deg, d = 3.296 Å, rel. 96.4, (-1 1 1); 34.57 deg, d = 2.594 Å, rel. 25.3, (0 2 -1); 34.73 deg, d = 2.583 Å, rel. 72.6, (0 0 3); 52.39 deg, d = 1.746 Å, rel. 29.9, (1 1 4); 53.00 deg, d = 1.728 Å, rel. 27.5, (-1 1 4); 55.79 deg, d = 1.648 Å, rel. 17.2, (-2 2 2); 59.77 deg, d = 1.547 Å, rel. 20.0, (0 2 -4); 66.62 deg, d = 1.404 Å, rel. 22.9, (0 4 1); 66.96 deg, d = 1.398 Å, rel. 35.8, (0 2 5)

Structural model:
abc: 4.6992 5.6562 7.7575
angles: 86.09 89.32 89.06
Space group P1 (No. 1)
One atom of each set of equivalent atoms:
V: 0.0000 0.0000 0.0000 x1
V: 0.0105 0.6448 0.3281 x1
V: 0.0502 0.3206 0.6688 x1
V: 0.4572 0.8147 0.6601 x1
V: 0.5244 0.1552 0.3336 x1
V: 0.5483 0.4771 0.9944 x1
O: 0.2095 0.3526 0.4357 x1
O: 0.2286 0.0091 0.7724 x1
O: 0.3253 0.8481 0.4374 x1
O: 0.3300 0.5264 0.7659 x1
O: 0.7109 0.4466 0.2267 x1
O: 0.8252 0.9439 0.2269 x1
O: 0.8337 0.2830 0.8924 x1
F: 0.2219 0.6890 0.0874 x1
F: 0.3223 0.1889 0.0968 x1
F: 0.7197 0.7855 0.8871 x1
F: 0.7208 0.1097 0.5716 x1
F: 0.8106 0.6230 0.5720 x1


[5]
V6O5F19: calculated powder diffractogram (Cu Kα), based on a PBE+U-relaxed structure.

The 10 most intense peaks (10° ≤ 2θ ≤ 80°), by angle:
18.15 deg, d = 4.888 Å, rel. 100.0, (0 0 3); 24.84 deg, d = 3.585 Å, rel. 91.4, (1 1 -1); 25.34 deg, d = 3.515 Å, rel. 86.8, (1 -1 1); 32.69 deg, d = 2.739 Å, rel. 14.8, (0 2 1); 36.77 deg, d = 2.444 Å, rel. 12.9, (0 0 6); 40.65 deg, d = 2.220 Å, rel. 12.7, (1 0 6); 47.18 deg, d = 1.926 Å, rel. 12.2, (2 2 1); 48.32 deg, d = 1.884 Å, rel. 14.3, (-2 2 1); 52.49 deg, d = 1.743 Å, rel. 11.5, (1 1 8); 54.31 deg, d = 1.689 Å, rel. 10.7, (1 -3 0)

Structural model:
abc: 5.3020 5.4797 14.9103
angles: 79.59 89.74 88.71
Space group P1 (No. 1)
One atom of each set of equivalent atoms:
V: 0.0000 0.0000 0.0000 x1
V: 0.0187 0.4050 0.3344 x1
V: 0.0811 0.7263 0.6739 x1
V: 0.5096 0.4872 0.0076 x1
V: 0.5337 0.8775 0.3379 x1
V: 0.5715 0.2385 0.6669 x1
O: 0.3183 0.8918 0.6922 x1
O: 0.3391 0.2418 0.0265 x1
O: 0.7436 0.4828 0.6484 x1
O: 0.7630 0.8348 0.9815 x1
O: 0.8410 0.6600 0.3150 x1
F: 0.1089 0.7213 0.5557 x1
F: 0.1364 0.0810 0.8900 x1
F: 0.1395 0.3950 0.2243 x1
F: 0.2399 0.0505 0.3606 x1
F: 0.2525 0.7312 0.0293 x1
F: 0.2557 0.3998 0.6956 x1
F: 0.3271 0.5559 0.3635 x1
F: 0.4487 0.2325 0.5567 x1
F: 0.4657 0.8892 0.2213 x1
F: 0.4688 0.5934 0.8889 x1
F: 0.6136 0.1296 0.7854 x1
F: 0.6340 0.8198 0.4528 x1
F: 0.6368 0.4931 0.1172 x1
F: 0.7417 0.1801 0.3106 x1
F: 0.8269 0.3253 0.9788 x1
F: 0.8285 0.9926 0.6448 x1
F: 0.9472 0.6441 0.7844 x1
F: 0.9603 0.2981 0.4514 x1
F: 0.9748 0.0007 0.1187 x1


[6]
V2O3F: calculated powder diffractogram (Cu Kα), based on a PBE+U-relaxed structure.

The 10 most intense peaks (10° ≤ 2θ ≤ 80°), by angle:
24.73 deg, d = 3.601 Å, rel. 94.7, (2 0 0); 27.82 deg, d = 3.206 Å, rel. 100.0, (0 2 0); 29.05 deg, d = 3.074 Å, rel. 18.6, (2 0 1); 35.73 deg, d = 2.513 Å, rel. 81.7, (1 1 2); 39.48 deg, d = 2.283 Å, rel. 30.8, (2 0 -2); 41.59 deg, d = 2.172 Å, rel. 17.3, (0 2 2); 43.05 deg, d = 2.101 Å, rel. 18.6, (3 1 -1); 51.07 deg, d = 1.788 Å, rel. 42.5, (3 1 2); 54.51 deg, d = 1.683 Å, rel. 52.0, (1 3 2); 66.59 deg, d = 1.404 Å, rel. 40.2, (3 3 2)

Structural model:
abc: 7.2014 6.4127 5.9032
angles: 90.00 90.05 90.00
Space group C2/m (No. 12)
One atom of each set of equivalent atoms:
V: 0.0000 0.0000 0.0000 x2
V: 0.0000 0.0000 0.5000 x2
V: 0.0590 0.5000 0.2499 x4
O: 0.0000 0.3090 0.0000 x4
O: 0.0000 0.3095 0.5000 x4
O: 0.1948 0.0000 0.7506 x4
F: 0.1919 0.0000 0.2494 x4


[7]
V6O7F5: calculated powder diffractogram (Cu Kα), based on a PBE+U-relaxed structure.

The 10 most intense peaks (10° ≤ 2θ ≤ 80°), by angle:
26.78 deg, d = 3.329 Å, rel. 100.0, (1 1 1); 27.34 deg, d = 3.262 Å, rel. 95.2, (-1 1 1); 34.49 deg, d = 2.601 Å, rel. 73.7, (1 -1 2); 34.62 deg, d = 2.591 Å, rel. 23.1, (1 1 -2); 39.52 deg, d = 2.280 Å, rel. 21.9, (1 2 -1); 52.37 deg, d = 1.747 Å, rel. 30.4, (1 3 0); 53.08 deg, d = 1.725 Å, rel. 27.0, (2 -2 1); 55.18 deg, d = 1.665 Å, rel. 18.1, (2 2 2); 56.42 deg, d = 1.631 Å, rel. 17.3, (-2 2 2); 59.03 deg, d = 1.565 Å, rel. 18.6, (0 2 -4)

Structural model:
abc: 4.6454 5.6290 7.8112
angles: 87.05 89.13 89.14
Space group P1 (No. 1)
One atom of each set of equivalent atoms:
V: 0.0000 0.0000 0.0000 x1
V: 0.9999 0.3290 0.6739 x1
V: 0.0124 0.6598 0.3746 x1
V: 0.4897 0.5115 0.0326 x1
V: 0.5144 0.8345 0.6830 x1
V: 0.5457 0.1816 0.3336 x1
O: 0.2105 0.6226 0.5856 x1
O: 0.2964 0.4860 0.2502 x1
O: 0.3218 0.8020 0.9139 x1
O: 0.7118 0.2147 0.1051 x1
O: 0.7263 0.8704 0.4412 x1
O: 0.8113 0.3789 0.4505 x1
O: 0.8199 0.0386 0.7723 x1
F: 0.2104 0.9744 0.2469 x1
F: 0.2117 0.3021 0.9056 x1
F: 0.3179 0.1332 0.5675 x1
F: 0.7124 0.5327 0.7951 x1
F: 0.8164 0.7065 0.1236 x1


[8]
V3O4F2: calculated powder diffractogram (Cu Kα), based on a PBE+U-relaxed structure.

The 10 most intense peaks (10° ≤ 2θ ≤ 80°), by angle:
26.88 deg, d = 3.317 Å, rel. 100.0, (1 -1 0); 34.66 deg, d = 2.588 Å, rel. 11.8, (0 1 3); 34.91 deg, d = 2.570 Å, rel. 12.9, (1 0 3); 35.18 deg, d = 2.551 Å, rel. 11.6, (1 0 -3); 35.30 deg, d = 2.543 Å, rel. 12.3, (0 1 -3); 52.53 deg, d = 1.742 Å, rel. 13.5, (2 1 3); 53.03 deg, d = 1.727 Å, rel. 14.5, (2 -1 3); 53.36 deg, d = 1.717 Å, rel. 14.1, (1 2 -3); 60.51 deg, d = 1.530 Å, rel. 9.1, (0 0 6); 67.66 deg, d = 1.385 Å, rel. 12.9, (0 3 -3)

Structural model:
abc: 4.6774 4.7049 9.1819
angles: 88.90 89.53 89.83
Space group P1 (No. 1)
One atom of each set of equivalent atoms:
V: 0.0000 0.0000 0.0000 x1
V: 0.0223 0.9674 0.6546 x1
V: 0.0549 0.9404 0.3123 x1
V: 0.4990 0.4317 0.8159 x1
V: 0.5236 0.4658 0.1542 x1
V: 0.5547 0.5063 0.4992 x1
O: 0.1959 0.1418 0.8286 x1
O: 0.2171 0.1681 0.1507 x1
O: 0.3265 0.6572 0.6495 x1
O: 0.3464 0.6507 0.3257 x1
O: 0.7110 0.2758 0.9868 x1
O: 0.7130 0.2592 0.6476 x1
O: 0.8320 0.7702 0.1403 x1
O: 0.8329 0.7664 0.4847 x1
F: 0.2412 0.1680 0.4827 x1
F: 0.3119 0.6684 0.9854 x1
F: 0.7353 0.2614 0.3273 x1
F: 0.8049 0.7615 0.8243 x1